The following is a computed powder XRD pattern of LaThNiPt. It was derived from a structure optimized by DFT (GGA-PBE), using Cu Kα.
Neutral-atom scattering factors, no anomalous dispersion.

The 8 most intense peaks (10° ≤ 2θ ≤ 90°), sorted by position:
d (Å), I (rel.)
4.431, 20
2.816, 100
2.787, 37
2.677, 32
2.359, 21
2.291, 74
2.215, 30
1.930, 20

Crystal structure
```
4
Lattice="4.4308 0.0000 0.0000 0.0000 1.9304 5.5731 0.0000 -1.9304 5.5731" Properties=species:S:1:pos:R:3 pbc="T T T"
La 0.0000 0.0000 0.0000
Th 2.2154 0.0000 3.0321
Ni 0.0000 0.0000 8.1964
Pt 2.2154 0.0000 6.2118
```